# 1
Computed X-ray powder pattern
Compound: RbSiSb
Radiation: copper Kα
Structure: a structure optimized by DFT (GGA-PBE)
Neutral-atom scattering factors, no anomalous dispersion.

Principal peaks in the range 2θ = 10–90°, in order of rising 2θ:
Position (°2θ), I_rel
12.9, 19
25.3, 97
25.9, 37
26.4, 17
30.4, 48
33.2, 100
43.9, 46
51.1, 27
51.7, 32
55.3, 15
56.1, 21
73.8, 19

Crystal structure
abc: 4.1257 4.1257 20.6190
angles: 90.00 90.00 120.00
Space group R3m (No. 160, hexagonal axes)
Unique sites:
1 Rb 0.0000 0.0000 0.0000
2 Si 0.0000 0.0000 0.7957
3 Sb 0.0000 0.0000 0.1909

# 2
Computed X-ray powder pattern
Compound: ErPa2VN5
Radiation: copper Kα
Structure: a structure optimized by DFT (GGA-PBE)
Neutral-atom scattering factors, no anomalous dispersion.

Principal peaks in the range 2θ = 10–90°, in order of rising 2θ:
Position (°2θ), I_rel
26.3, 26
27.5, 47
29.4, 96
31.7, 68
32.7, 41
33.3, 71
34.5, 30
38.4, 100
46.6, 54
54.9, 29
56.7, 34
63.5, 33

Crystal structure
abc: 3.3453 13.5715 10.1772
angles: 90.00 90.00 90.00
Space group Cmc2_1 (No. 36)
Unique sites:
1 Er 0.0000 0.2062 0.0000
2 Pa 0.0000 0.1112 0.6857
3 Pa 0.0000 0.1412 0.2956
4 V 0.0000 0.4836 0.4650
5 N 0.0000 0.0392 0.0515
6 N 0.0000 0.2835 0.6681
7 N 0.0000 0.3298 0.3488
8 N 0.0000 0.3728 0.0030
9 N 0.0000 0.4815 0.7805

# 3
Computed X-ray powder pattern
Compound: NaCo5Se8
Radiation: copper Kα
Structure: a structure optimized by DFT (GGA-PBE)
Neutral-atom scattering factors, no anomalous dispersion.

Principal peaks in the range 2θ = 10–90°, in order of rising 2θ:
Position (°2θ), I_rel
10.1, 31
11.3, 51
12.9, 29
32.9, 100
34.6, 40
35.5, 18
39.5, 13
39.9, 21
42.2, 18
48.9, 19
51.1, 24
51.9, 41

Crystal structure
abc: 18.2244 3.5766 8.1640
angles: 90.00 105.60 90.00
Space group Cm (No. 8)
Unique sites:
1 Na 0.0000 0.0000 0.0000
2 Co 0.0045 0.5000 0.5044
3 Co 0.1556 0.0000 0.4817
4 Co 0.2068 0.0000 0.8164
5 Co 0.2988 0.5000 0.1873
6 Co 0.3414 0.5000 0.5257
7 Se 0.0717 0.0000 0.6753
8 Se 0.0850 0.5000 0.3238
9 Se 0.1788 0.5000 0.9867
10 Se 0.2389 0.5000 0.6557
11 Se 0.2613 0.0000 0.3543
12 Se 0.3272 0.0000 0.0220
13 Se 0.4156 0.0000 0.6789
14 Se 0.4292 0.5000 0.3584

# 4
Computed X-ray powder pattern
Compound: Pm6Ge3Rh
Radiation: copper Kα
Structure: a structure optimized by DFT (GGA-PBE)
Neutral-atom scattering factors, no anomalous dispersion.

Principal peaks in the range 2θ = 10–90°, in order of rising 2θ:
Position (°2θ), I_rel
16.6, 19
21.4, 29
21.9, 19
25.4, 81
30.7, 27
31.9, 79
36.1, 99
36.4, 100
46.8, 22
52.2, 27
53.4, 24
69.5, 19

Crystal structure
abc: 13.1702 13.1702 12.0621
angles: 90.00 90.00 120.00
Space group R-3 (No. 148, hexagonal axes)
Unique sites:
1 Pm 0.0333 0.2062 0.3923
2 Pm 0.0472 0.2059 0.8870
3 Ge 0.0498 0.2751 0.6519
4 Rh 0.0000 0.0000 0.0000
5 Rh 0.0000 0.0000 0.5000

# 5
Computed X-ray powder pattern
Compound: Na2CaC2O6
Radiation: copper Kα
Structure: a structure optimized by DFT (GGA-PBE)
Neutral-atom scattering factors, no anomalous dispersion.

Principal peaks in the range 2θ = 10–90°, in order of rising 2θ:
Position (°2θ), I_rel
19.8, 23
24.8, 28
29.8, 84
30.0, 79
34.6, 65
36.1, 41
40.9, 22
43.1, 100
46.4, 50
50.9, 33
58.3, 26
73.1, 24

Crystal structure
abc: 5.1797 5.1797 11.9822
angles: 90.00 90.00 120.00
Space group P6_3mc (No. 186)
Unique sites:
1 Na 0.3333 0.6667 0.0000
2 Na 0.3333 0.6667 0.3387
3 Ca 0.0000 0.0000 0.1728
4 C 0.0000 0.0000 0.3828
5 C 0.3333 0.6667 0.6417
6 O 0.0436 0.5218 0.6415
7 O 0.1442 0.2885 0.8768

# 6
Computed X-ray powder pattern
Compound: Ag2HPd
Radiation: copper Kα
Structure: a structure optimized by DFT (GGA-PBE)
Neutral-atom scattering factors, no anomalous dispersion.

Principal peaks in the range 2θ = 10–90°, in order of rising 2θ:
Position (°2θ), I_rel
37.7, 100
41.1, 20
44.4, 16
45.8, 14
62.0, 11
63.1, 5
63.3, 5
65.7, 9
72.6, 14
77.2, 11
79.3, 11
80.4, 5

Crystal structure
abc: 3.9601 4.0823 6.8827
angles: 90.00 106.61 90.00
Space group Cm (No. 8)
Unique sites:
1 Ag 0.0000 0.0000 0.0000
2 Ag 0.1619 0.5000 0.3247
3 H 0.3294 0.5000 0.6624
4 Pd 0.3306 0.0000 0.6623